[1]
For MnAgRu, DFT lattice parameters and positions (PBE) gives the computed powder diffraction line list in this record (CuKα).

Crystal structure
Cell lengths 6.0356, 6.0356, 6.0356 Å; angles 152.90, 152.90, 38.70 degrees
Positions (direct):
1 Mn 0.0000 0.0000 0.0000
2 Ag 0.6790 0.6790 0.0000
3 Ru 0.3670 0.3670 0.0000

Peak list (12 most intense, 2θ = 10–80°, low angle first)
2θ 15.56, I 3.0
2θ 31.42, I 8.8
2θ 32.62, I 11.0
2θ 39.74, I 100.0
2θ 45.35, I 35.9
2θ 47.92, I 11.8
2θ 56.21, I 6.5
2θ 66.08, I 11.0
2θ 66.27, I 7.7
2θ 68.11, I 15.6
2θ 74.99, I 2.7
2θ 79.95, I 23.8



[2]
For Ba3Br4Cl2, DFT lattice parameters and positions (PBE) gives the computed powder diffraction line list in this record (CuKα).

Crystal structure
Cell lengths 8.3420, 10.9603, 13.9098 Å; angles 72.11, 89.87, 89.84 degrees
Positions (direct):
1 Ba 0.0000 0.0000 0.0000
2 Ba 0.0002 0.3261 0.6687
3 Ba 0.0001 0.6663 0.3254
4 Ba 0.0138 0.8410 0.6708
5 Ba 0.0150 0.1657 0.3313
6 Ba 0.0157 0.4980 0.9988
7 Ba 0.4988 0.8295 0.9147
8 Ba 0.5001 0.1637 0.5801
9 Ba 0.5015 0.4954 0.2474
10 Ba 0.5131 0.6514 0.5745
11 Ba 0.5256 0.3184 0.9088
12 Ba 0.5258 0.9851 0.2419
13 Br 0.2348 0.1868 0.0926
14 Br 0.2358 0.5161 0.7624
15 Br 0.2365 0.8554 0.4218
16 Br 0.2901 0.4618 0.4796
17 Br 0.2920 0.1281 0.8148
18 Br 0.2930 0.7965 0.1465
19 Br 0.4050 0.1965 0.3479
20 Br 0.4046 0.8642 0.6815
21 Br 0.4057 0.5306 0.0143
22 Br 0.7373 0.2990 0.1487
23 Br 0.7374 0.6330 0.8189
24 Br 0.7375 0.9700 0.4815
25 Br 0.7882 0.0307 0.7643
26 Br 0.7893 0.3608 0.4288
27 Br 0.7898 0.6935 0.0973
28 Br 0.9072 0.6273 0.5621
29 Cl 0.1159 0.7919 0.8978
30 Cl 0.1173 0.1267 0.5610
31 Cl 0.1183 0.4572 0.2273
32 Cl 0.6209 0.3662 0.6819
33 Cl 0.6214 0.6987 0.3487
34 Cl 0.6220 0.0321 0.0157
35 Cl 0.9040 0.2892 0.8949
36 Cl 0.9043 0.9566 0.2272

Peak list (12 most intense, 2θ = 10–80°, low angle first)
2θ 21.06, I 47.4
2θ 22.80, I 46.7
2θ 27.80, I 67.7
2θ 29.44, I 100.0
2θ 29.49, I 65.2
2θ 32.90, I 51.3
2θ 36.35, I 55.1
2θ 36.75, I 23.1
2θ 37.14, I 23.5
2θ 37.25, I 24.0
2θ 38.26, I 25.0
2θ 52.98, I 33.4



[3]
For VReW, DFT lattice parameters and positions (PBE) gives the computed powder diffraction line list in this record (CuKα).

Crystal structure
Cell lengths 5.1666, 5.1666, 4.3544 Å; angles 90.00, 90.00, 129.77 degrees
Positions (direct):
1 V 0.1659 0.8341 0.0000
2 V 0.8341 0.1659 0.0000
3 Re 0.0000 0.0000 0.5000
4 Re 0.5000 0.5000 0.0000
5 W 0.3320 0.6680 0.5000
6 W 0.6680 0.3320 0.5000

Peak list (12 most intense, 2θ = 10–80°, low angle first)
2θ 20.40, I 11.5
2θ 22.39, I 4.4
2θ 30.47, I 4.9
2θ 35.31, I 6.0
2θ 41.13, I 100.0
2θ 41.47, I 19.5
2θ 55.58, I 3.5
2θ 59.26, I 6.8
2θ 59.86, I 13.2
2θ 74.69, I 6.9
2θ 74.96, I 20.5
2θ 75.42, I 13.4



[4]
For AcAgSbO, DFT lattice parameters and positions (PBE) gives the computed powder diffraction line list in this record (CuKα).

Crystal structure
Cell lengths 7.3370, 7.3370, 7.3370 Å; angles 151.11, 151.11, 41.31 degrees
Positions (direct):
1 Ac 0.0000 0.0000 0.0000
2 Ag 0.6987 0.6987 0.0000
3 Sb 0.2892 0.2892 0.0000
4 O 0.5273 0.5273 0.0000

Peak list (12 most intense, 2θ = 10–80°, low angle first)
2θ 25.18, I 21.9
2θ 25.96, I 30.4
2θ 31.29, I 100.0
2θ 34.66, I 58.2
2θ 43.81, I 30.0
2θ 49.83, I 20.6
2θ 52.96, I 28.5
2θ 53.44, I 10.7
2θ 57.03, I 13.7
2θ 60.02, I 31.8
2θ 75.67, I 19.9
2θ 78.93, I 9.1



[5]
For CsTlH, DFT lattice parameters and positions (PBE) gives the computed powder diffraction line list in this record (CuKα).

Crystal structure
Cell lengths 6.3298, 5.5188, 6.5736 Å; angles 90.00, 110.24, 90.00 degrees
Positions (direct):
1 Cs 0.1003 0.2500 0.2804
2 Cs 0.8997 0.7500 0.7196
3 Tl 0.4711 0.2500 0.8937
4 Tl 0.5289 0.7500 0.1063
5 H 0.1308 0.2500 0.7852
6 H 0.8692 0.7500 0.2148

Peak list (12 most intense, 2θ = 10–80°, low angle first)
2θ 14.36, I 59.0
2θ 16.76, I 35.4
2θ 21.99, I 34.2
2θ 23.30, I 100.0
2θ 24.13, I 52.9
2θ 28.50, I 63.0
2θ 29.12, I 73.4
2θ 32.09, I 46.6
2θ 32.45, I 53.8
2θ 33.28, I 54.3
2θ 43.72, I 39.7
2θ 47.18, I 60.2